Diffraction record for Al2Ga2Br7. The powder X-ray diffraction pattern is computed, not measured: it uses a DFT-relaxed cell (GGA-PBE, Alexandria) and a wavelength of 1.5418 Å.

Principal peaks in the range 2θ = 15–90°, low angle first:
- 2θ 19.43, rel. 48, (1 1 1)
- 2θ 19.61, rel. 34, (1 2 -1)
- 2θ 21.49, rel. 27, (1 3 0)
- 2θ 26.69, rel. 56, (1 2 -2)
- 2θ 27.62, rel. 100, (1 0 2)
- 2θ 28.36, rel. 23, (2 1 -1)
- 2θ 38.34, rel. 29, (2 4 1)
- 2θ 40.51, rel. 20, (0 4 3)

Structure:
Unit cell a=6.6452 b=15.9574 c=8.1367 alpha=90.00 beta=98.28 gamma=90.00
Space group P2_1/c (No. 14)
Asymmetric unit:
Al1 0.1510 0.1133 0.3342
Ga1 0.3920 0.6561 0.5769
Br1 0.0000 0.0000 0.5000
Br2 0.1022 0.7134 0.2721
Br3 0.2970 0.0589 0.1059
Br4 0.4100 0.1850 0.5154

Diffraction record for AlIn2GaBr6. The powder X-ray diffraction pattern is computed, not measured: it uses a DFT-relaxed cell (GGA-PBE, Alexandria) and a wavelength of 1.5418 Å.

Principal peaks in the range 2θ = 15–90°, low angle first:
- 2θ 21.60, rel. 55, (1 1 1)
- 2θ 27.28, rel. 100, (2 0 1)
- 2θ 32.65, rel. 20, (1 1 2)
- 2θ 33.27, rel. 73, (2 2 0)
- 2θ 36.77, rel. 42, (2 0 2)
- 2θ 40.01, rel. 23, (3 1 1)
- 2θ 47.76, rel. 24, (4 0 0)
- 2θ 55.87, rel. 20, (4 2 1)

Structure:
Unit cell a=7.6176 b=7.6176 c=6.3736 alpha=90.00 beta=90.00 gamma=90.00
Space group P4mm (No. 99)
Asymmetric unit:
Al1 0.0000 0.0000 0.0000
In1 0.0000 0.5000 0.3957
Ga1 0.5000 0.5000 0.9295
Br1 0.0000 0.0000 0.6327
Br2 0.2239 0.2239 0.0963
Br3 0.5000 0.5000 0.5145

Diffraction record for AlHgGeBr6. The powder X-ray diffraction pattern is computed, not measured: it uses a DFT-relaxed cell (GGA-PBE, Alexandria) and a wavelength of 1.5418 Å.

Principal peaks in the range 2θ = 15–90°, low angle first:
- 2θ 18.05, rel. 100, (1 0 1)
- 2θ 24.24, rel. 19, (1 0 2)
- 2θ 27.97, rel. 26, (0 0 3)
- 2θ 28.55, rel. 75, (2 -1 1)
- 2θ 32.92, rel. 91, (1 1 2)
- 2θ 42.82, rel. 22, (2 1 1)
- 2θ 46.87, rel. 34, (2 -1 4)
- 2θ 47.62, rel. 30, (3 0 0)

Structure:
Unit cell a=6.6157 b=6.6157 c=9.5683 alpha=90.00 beta=90.00 gamma=120.00
Space group P312 (No. 149)
Asymmetric unit:
Al1 0.0000 0.0000 0.0000
Hg1 0.6667 0.3333 0.5000
Ge1 0.3333 0.6667 0.0000
Br1 0.0157 0.3158 0.8440

Diffraction record for AlH2Br. The powder X-ray diffraction pattern is computed, not measured: it uses a DFT-relaxed cell (GGA-PBE, Alexandria) and a wavelength of 1.5418 Å.

Principal peaks in the range 2θ = 15–90°, low angle first:
- 2θ 22.12, rel. 87, (1 0 -2)
- 2θ 24.60, rel. 47, (0 1 2)
- 2θ 24.82, rel. 100, (1 1 -1)
- 2θ 26.70, rel. 97, (1 1 0)
- 2θ 31.56, rel. 74, (0 2 1)
- 2θ 33.13, rel. 55, (0 1 3)
- 2θ 35.66, rel. 41, (1 0 2)
- 2θ 41.43, rel. 51, (1 2 -3)

Structure:
Unit cell a=4.4887 b=5.9675 c=10.1315 alpha=90.00 beta=116.07 gamma=90.00
Space group P2_1/c (No. 14)
Asymmetric unit:
Al1 0.1769 0.0313 0.4266
H1 0.0989 0.6792 0.0289
H2 0.4831 0.6198 0.9087
Br1 0.2565 0.1082 0.8125

Diffraction record for Al2HgI6Br2. The powder X-ray diffraction pattern is computed, not measured: it uses a DFT-relaxed cell (GGA-PBE, Alexandria) and a wavelength of 1.5418 Å.

Principal peaks in the range 2θ = 15–90°, low angle first:
- 2θ 16.14, rel. 64, (1 0 1)
- 2θ 24.93, rel. 21, (0 0 3)
- 2θ 25.52, rel. 93, (1 1 1)
- 2θ 29.38, rel. 100, (2 -1 2)
- 2θ 34.95, rel. 24, (1 1 3)
- 2θ 41.65, rel. 43, (1 1 4)
- 2θ 42.41, rel. 46, (3 0 0)
- 2θ 52.43, rel. 20, (2 2 2)

Structure:
Unit cell a=7.3828 b=7.3828 c=10.7167 alpha=90.00 beta=90.00 gamma=120.00
Space group P-3 (No. 147)
Asymmetric unit:
Al1 0.3333 0.6667 0.2456
Hg1 0.0000 0.0000 0.5000
I1 0.0002 0.3358 0.6732
Br1 0.3333 0.6667 0.0344

Copy entry 2 word for word.
Diffraction record for AlIn2GaBr6. The powder X-ray diffraction pattern is computed, not measured: it uses a DFT-relaxed cell (GGA-PBE, Alexandria) and a wavelength of 1.5418 Å.

Principal peaks in the range 2θ = 15–90°, low angle first:
- 2θ 21.60, rel. 55, (1 1 1)
- 2θ 27.28, rel. 100, (2 0 1)
- 2θ 32.65, rel. 20, (1 1 2)
- 2θ 33.27, rel. 73, (2 2 0)
- 2θ 36.77, rel. 42, (2 0 2)
- 2θ 40.01, rel. 23, (3 1 1)
- 2θ 47.76, rel. 24, (4 0 0)
- 2θ 55.87, rel. 20, (4 2 1)

Structure:
Unit cell a=7.6176 b=7.6176 c=6.3736 alpha=90.00 beta=90.00 gamma=90.00
Space group P4mm (No. 99)
Asymmetric unit:
Al1 0.0000 0.0000 0.0000
In1 0.0000 0.5000 0.3957
Ga1 0.5000 0.5000 0.9295
Br1 0.0000 0.0000 0.6327
Br2 0.2239 0.2239 0.0963
Br3 0.5000 0.5000 0.5145

Repeat the first record exactly.
Diffraction record for Al2Ga2Br7. The powder X-ray diffraction pattern is computed, not measured: it uses a DFT-relaxed cell (GGA-PBE, Alexandria) and a wavelength of 1.5418 Å.

Principal peaks in the range 2θ = 15–90°, low angle first:
- 2θ 19.43, rel. 48, (1 1 1)
- 2θ 19.61, rel. 34, (1 2 -1)
- 2θ 21.49, rel. 27, (1 3 0)
- 2θ 26.69, rel. 56, (1 2 -2)
- 2θ 27.62, rel. 100, (1 0 2)
- 2θ 28.36, rel. 23, (2 1 -1)
- 2θ 38.34, rel. 29, (2 4 1)
- 2θ 40.51, rel. 20, (0 4 3)

Structure:
Unit cell a=6.6452 b=15.9574 c=8.1367 alpha=90.00 beta=98.28 gamma=90.00
Space group P2_1/c (No. 14)
Asymmetric unit:
Al1 0.1510 0.1133 0.3342
Ga1 0.3920 0.6561 0.5769
Br1 0.0000 0.0000 0.5000
Br2 0.1022 0.7134 0.2721
Br3 0.2970 0.0589 0.1059
Br4 0.4100 0.1850 0.5154